The following is a computed X-ray diffraction stick pattern of BaCaPt2. It was derived from a structure optimized by DFT (GGA-PBE), using copper Kα.
Lines closer than 0.1° are merged.

Structural model:
```
data_BaCaPt2
_chemical_formula_sum 'Ba2 Ca2 Pt4'
_cell_length_a 4.523
_cell_length_b 4.216
_cell_length_c 11.405
_cell_angle_alpha 90.00
_cell_angle_beta 90.00
_cell_angle_gamma 90.00
_symmetry_space_group_name_H-M 'A m m 2'
_symmetry_Int_Tables_number 38
_symmetry_space_group_name_Hall 'A 2 -2'
loop_
_atom_site_label
_atom_site_fract_x
_atom_site_fract_y
_atom_site_fract_z
_atom_site_occupancy
Ba1 0.000 0.000 0.000 1
Ca1 0.500 0.000 0.278 1
Pt1 0.000 0.000 0.724 1
Pt2 0.500 0.000 0.584 1
```

Largest 10 diffraction maxima, low angle first, 2θ = 10–90°:
2θ 15.54, I = 50, hkl 0 0 2
2θ 22.48, I = 60, hkl 0 1 1
2θ 30.02, I = 86, hkl 1 1 1
2θ 31.69, I = 26, hkl 0 1 3
2θ 37.28, I = 57, hkl 1 0 4
2θ 37.56, I = 100, hkl 1 1 3
2θ 39.87, I = 33, hkl 2 0 0
2θ 42.90, I = 27, hkl 0 2 0
2θ 58.12, I = 32, hkl 1 2 4
2θ 60.00, I = 20, hkl 2 2 0